(1)
Simulated PXRD pattern of Sm2Ag2O5 for a wavelength of 1.5418 Å, from the PBE geometry in the Materials Project.

Peak list (6 most intense, 2θ = 5–70°, by angle)
two_theta, d [Å], intensity, (hkl)
30.09, 2.970, 28, 0 2 0
30.97, 2.888, 100, 4 1 1
31.35, 2.853, 27, 0 0 2
44.00, 2.058, 24, 0 2 2
53.98, 1.699, 24, 4 3 1
55.58, 1.653, 32, 8 0 2

Structure:
abc: 16.2110 5.9406 5.7074
angles: 90.00 90.00 90.00
Space group Ima2 (No. 46)
Unique sites:
Sm1 0.1212 0.0040 0.0000 (multiplicity 8)
Ag1 0.0000 0.0000 0.5318 (multiplicity 4)
Ag2 0.2500 0.5152 0.9954 (multiplicity 4)
O1 0.0440 0.7345 0.7690 (multiplicity 8)
O2 0.1271 0.1262 0.6083 (multiplicity 8)
O3 0.2500 0.5880 0.5712 (multiplicity 4)

=====

(2)
Simulated PXRD pattern of SmAgO3 for a wavelength of 1.5418 Å, from the PBE geometry in the Materials Project.

Peak list (6 most intense, 2θ = 5–70°, by angle)
two_theta, d [Å], intensity, (hkl)
21.84, 4.069, 1, 1 0 0
31.08, 2.877, 100, 1 1 0
38.31, 2.349, 5, 1 1 1
44.53, 2.034, 29, 2 0 0
55.30, 1.661, 39, 2 1 1
64.81, 1.439, 18, 2 2 0

Structure:
abc: 4.0689 4.0689 4.0689
angles: 90.00 90.00 90.00
Space group Pm-3m (No. 221)
Unique sites:
Sm1 0.0000 0.0000 0.0000 (multiplicity 1)
Ag1 0.5000 0.5000 0.5000 (multiplicity 1)
O1 0.0000 0.5000 0.5000 (multiplicity 3)

=====

(3)
Simulated PXRD pattern of Ag2SnO3 for a wavelength of 1.5418 Å, from the PBE geometry in the Materials Project.

Peak list (6 most intense, 2θ = 5–70°, by angle)
two_theta, d [Å], intensity, (hkl)
27.69, 3.221, 45, 0 0 4
31.87, 2.808, 53, 1 1 1
34.13, 2.627, 100, 1 1 2
53.22, 1.721, 35, 1 1 6
55.30, 1.661, 27, 3 0 0
62.95, 1.477, 28, 3 0 4

Structure:
abc: 5.7548 5.7548 12.8854
angles: 90.00 90.00 120.00
Space group P6_322 (No. 182)
Unique sites:
Ag1 0.0000 0.3231 0.0000 (multiplicity 6)
Ag2 0.3333 0.6667 0.7500 (multiplicity 2)
Sn1 0.0000 0.0000 0.2500 (multiplicity 2)
Sn2 0.3333 0.6667 0.2500 (multiplicity 2)
O1 0.0529 0.3338 0.1625 (multiplicity 12)

=====

Please write out number 3 again, unchanged.
Simulated PXRD pattern of Ag2SnO3 for a wavelength of 1.5418 Å, from the PBE geometry in the Materials Project.

Peak list (6 most intense, 2θ = 5–70°, by angle)
two_theta, d [Å], intensity, (hkl)
27.69, 3.221, 45, 0 0 4
31.87, 2.808, 53, 1 1 1
34.13, 2.627, 100, 1 1 2
53.22, 1.721, 35, 1 1 6
55.30, 1.661, 27, 3 0 0
62.95, 1.477, 28, 3 0 4

Structure:
abc: 5.7548 5.7548 12.8854
angles: 90.00 90.00 120.00
Space group P6_322 (No. 182)
Unique sites:
Ag1 0.0000 0.3231 0.0000 (multiplicity 6)
Ag2 0.3333 0.6667 0.7500 (multiplicity 2)
Sn1 0.0000 0.0000 0.2500 (multiplicity 2)
Sn2 0.3333 0.6667 0.2500 (multiplicity 2)
O1 0.0529 0.3338 0.1625 (multiplicity 12)